1.
For Mg6GaBO8, a PBE-relaxed structure gives the simulated X-ray powder pattern in this record (Cu Kα, 1.54184 Å).
Intensities are scaled so that the largest is 100.

Principal peaks in the range 10 to 90 degrees two-theta, in order of rising 2θ:
23.35 deg, rel. 36; 41.70 deg, rel. 53; 42.62 deg, rel. 100; 61.15 deg, rel. 58; 61.86 deg, rel. 29; 77.39 deg, rel. 26

Cell and atoms:
abc: 4.2422 4.2422 8.6646
angles: 90.00 90.00 90.00
Positions (direct):
Mg: 0.0000 0.0000 0.0000
Mg: 0.0000 0.5000 0.2512
Mg: 0.0000 0.5000 0.7488
Mg: 0.5000 0.0000 0.2512
Mg: 0.5000 0.0000 0.7488
Mg: 0.5000 0.5000 0.0000
Ga: 0.0000 0.0000 0.5000
B: 0.5000 0.5000 0.5000
O: 0.0000 0.0000 0.2564
O: 0.0000 0.0000 0.7436
O: 0.0000 0.5000 0.0000
O: 0.0000 0.5000 0.5000
O: 0.5000 0.0000 0.0000
O: 0.5000 0.0000 0.5000
O: 0.5000 0.5000 0.2378
O: 0.5000 0.5000 0.7622

***

2.
For MgGaBO4, a PBE-relaxed structure gives the simulated X-ray powder pattern in this record (Cu Kα, 1.54184 Å).
Intensities are scaled so that the largest is 100.

Principal peaks in the range 10 to 90 degrees two-theta, in order of rising 2θ:
13.38 deg, rel. 90; 21.17 deg, rel. 34; 34.50 deg, rel. 45; 34.65 deg, rel. 100; 45.54 deg, rel. 24; 57.51 deg, rel. 29

Cell and atoms:
abc: 9.3156 3.1136 9.4003
angles: 90.00 90.00 90.00
Positions (direct):
Mg: 0.1039 0.2500 0.1873
Mg: 0.3961 0.7500 0.6873
Mg: 0.6039 0.2500 0.3127
Mg: 0.8961 0.7500 0.8127
Ga: 0.1154 0.2500 0.5702
Ga: 0.3846 0.7500 0.0702
Ga: 0.6154 0.2500 0.9298
Ga: 0.8846 0.7500 0.4298
B: 0.1637 0.2500 0.8729
B: 0.3363 0.7500 0.3729
B: 0.6637 0.2500 0.6271
B: 0.8363 0.7500 0.1271
O: 0.0080 0.2500 0.3856
O: 0.0200 0.2500 0.8708
O: 0.2408 0.2500 0.0031
O: 0.2416 0.2500 0.7440
O: 0.2584 0.7500 0.2440
O: 0.2592 0.7500 0.5031
O: 0.4800 0.7500 0.3708
O: 0.4920 0.7500 0.8856
O: 0.5080 0.2500 0.1144
O: 0.5200 0.2500 0.6292
O: 0.7408 0.2500 0.4969
O: 0.7416 0.2500 0.7560
O: 0.7584 0.7500 0.2560
O: 0.7592 0.7500 0.9969
O: 0.9800 0.7500 0.1292
O: 0.9920 0.7500 0.6144

***

3.
For Mg14GaBO16, a PBE-relaxed structure gives the simulated X-ray powder pattern in this record (Cu Kα, 1.54184 Å).
Intensities are scaled so that the largest is 100.

Principal peaks in the range 10 to 90 degrees two-theta, in order of rising 2θ:
10.32 deg, rel. 25; 42.19 deg, rel. 100; 42.44 deg, rel. 50; 61.19 deg, rel. 28; 61.38 deg, rel. 56; 77.30 deg, rel. 25

Cell and atoms:
abc: 8.5681 8.5681 4.2598
angles: 90.00 90.00 90.00
Positions (direct):
Mg: 0.0000 0.2442 0.0000
Mg: 0.0000 0.5000 0.5000
Mg: 0.0000 0.7558 0.0000
Mg: 0.2427 0.2427 0.5000
Mg: 0.2427 0.7573 0.5000
Mg: 0.2442 0.0000 0.0000
Mg: 0.2459 0.5000 0.0000
Mg: 0.5000 0.0000 0.5000
Mg: 0.5000 0.2459 0.0000
Mg: 0.5000 0.7541 0.0000
Mg: 0.7541 0.5000 0.0000
Mg: 0.7558 0.0000 0.0000
Mg: 0.7573 0.2427 0.5000
Mg: 0.7573 0.7573 0.5000
Ga: 0.5000 0.5000 0.5000
B: 0.0000 0.0000 0.5000
O: 0.0000 0.0000 0.0000
O: 0.0000 0.2685 0.5000
O: 0.0000 0.5000 0.0000
O: 0.0000 0.7315 0.5000
O: 0.2503 0.2503 0.0000
O: 0.2503 0.7497 0.0000
O: 0.2634 0.5000 0.5000
O: 0.2685 0.0000 0.5000
O: 0.5000 0.0000 0.0000
O: 0.5000 0.2634 0.5000
O: 0.5000 0.5000 0.0000
O: 0.5000 0.7366 0.5000
O: 0.7315 0.0000 0.5000
O: 0.7366 0.5000 0.5000
O: 0.7497 0.2503 0.0000
O: 0.7497 0.7497 0.0000

***

4.
For NdGa3B4O12, a PBE-relaxed structure gives the simulated X-ray powder pattern in this record (Cu Kα, 1.54184 Å).
Intensities are scaled so that the largest is 100.

Principal peaks in the range 10 to 90 degrees two-theta, in order of rising 2θ:
24.40 deg, rel. 88; 30.79 deg, rel. 24; 31.86 deg, rel. 100; 37.49 deg, rel. 25; 46.02 deg, rel. 24; 52.45 deg, rel. 28

Cell and atoms:
abc: 6.0953 6.0953 6.0953
angles: 103.84 103.84 103.84
Positions (direct):
Nd: 0.0000 0.0000 0.0000
Ga: 0.0000 0.4485 0.5515
Ga: 0.4485 0.5515 0.0000
Ga: 0.5515 0.0000 0.4485
B: 0.0553 0.9447 0.5000
B: 0.5000 0.0553 0.9447
B: 0.5000 0.5000 0.5000
B: 0.9447 0.5000 0.0553
O: 0.0284 0.7858 0.6259
O: 0.0901 0.5000 0.9099
O: 0.2142 0.9716 0.3741
O: 0.3548 0.5000 0.6452
O: 0.3741 0.2142 0.9716
O: 0.5000 0.6452 0.3548
O: 0.5000 0.9099 0.0901
O: 0.6259 0.0284 0.7858
O: 0.6452 0.3548 0.5000
O: 0.7858 0.6259 0.0284
O: 0.9099 0.0901 0.5000
O: 0.9716 0.3741 0.2142